No. 1
Starting from a structure optimized by DFT (GGA-PBE), the XRD peak list of Sc4RuPt2 was simulated for copper Kα.

Crystal structure
Cell lengths 4.5751, 4.5751, 22.3885 Å; angles 90.00, 90.00, 120.00 degrees
Space group R-3m (No. 166, hexagonal axes)
Unique sites:
Sc 0.0000 0.0000 0.1241 (multiplicity 6)
Sc 0.0000 0.0000 0.3751 (multiplicity 6)
Ru 0.0000 0.0000 0.5000 (multiplicity 3)
Pt 0.0000 0.0000 0.2497 (multiplicity 6)

Peak list (8 most intense, 2θ = 10–90°, in order of rising 2θ)
d/Å  2theta  I_rel
3.734  23.8  42.9
3.234  27.6  26.8
2.287  39.4  100.0
1.950  46.6  22.6
1.617  57.0  16.7
1.446  64.4  11.3
1.320  71.5  33.4
1.143  84.8  10.6

=====

No. 2
Starting from a structure optimized by DFT (GGA-PBE), the XRD peak list of Np3Tl4HgO12 was simulated for copper Kα.

Crystal structure
Cell lengths 8.716, 8.716, 8.716 Å; angles 90.00, 90.00, 90.00 degrees
Space group Im-3m (No. 229)
Unique sites:
Np 0.000 0.000 0.500 (multiplicity 6)
Tl 0.250 0.250 0.250 (multiplicity 8)
Hg 0.000 0.000 0.000 (multiplicity 2)
O 0.000 0.000 0.277 (multiplicity 12)
O 0.000 0.250 0.500 (multiplicity 12)

Peak list (8 most intense, 2θ = 10–90°, in order of rising 2θ)
d/Å  2theta  I_rel
4.358  20.4  1.3
3.081  29.0  100.0
2.179  41.4  25.8
1.779  51.4  42.7
1.541  60.0  17.0
1.378  68.0  19.2
1.258  75.6  5.7
1.165  82.9  22.9

=====

No. 3
Starting from a structure optimized by DFT (GGA-PBE), the XRD peak list of DyY2Pd was simulated for copper Kα.

Crystal structure
Cell lengths 3.6606, 3.6606, 29.4338 Å; angles 90.00, 90.00, 120.00 degrees
Space group R-3m (No. 166, hexagonal axes)
Unique sites:
Dy 0.0000 0.0000 0.0000 (multiplicity 3)
Y 0.0000 0.0000 0.2333 (multiplicity 6)
Pd 0.0000 0.0000 0.5000 (multiplicity 3)

Peak list (8 most intense, 2θ = 10–90°, in order of rising 2θ)
d/Å  2theta  I_rel
2.911  30.7  100.0
2.791  32.1  9.6
2.453  36.6  11.5
2.402  37.4  46.9
1.830  49.8  27.4
1.550  59.7  14.7
1.467  63.4  13.7
1.183  81.4  11.9

=====

No. 4
Starting from a structure optimized by DFT (GGA-PBE), the XRD peak list of Sr2In2GaAu4 was simulated for copper Kα.

Crystal structure
Cell lengths 7.052, 7.052, 9.026 Å; angles 90.00, 90.00, 90.00 degrees
Space group I4/mmm (No. 139)
Unique sites:
Sr 0.000 0.500 0.250 (multiplicity 4)
In 0.000 0.000 0.182 (multiplicity 4)
Ga 0.000 0.000 0.500 (multiplicity 2)
Au 0.240 0.240 0.000 (multiplicity 8)

Peak list (8 most intense, 2θ = 10–90°, in order of rising 2θ)
d/Å  2theta  I_rel
4.513  19.7  21.2
2.778  32.2  100.0
2.493  36.0  54.7
2.256  40.0  13.1
2.182  41.4  13.1
1.763  51.9  19.0
1.673  54.9  20.5
1.489  62.4  30.7

=====

No. 5
Starting from a structure optimized by DFT (GGA-PBE), the XRD peak list of Sr2Tl5Hg4 was simulated for copper Kα.

Crystal structure
Cell lengths 14.646, 6.366, 9.493 Å; angles 90.00, 130.32, 90.00 degrees
Space group C2/m (No. 12)
Unique sites:
Sr 0.194 0.000 0.194 (multiplicity 4)
Tl 0.000 0.252 0.323 (multiplicity 8)
Tl 0.000 0.500 0.000 (multiplicity 2)
Hg 0.248 0.500 0.087 (multiplicity 4)
Hg 0.248 0.500 0.410 (multiplicity 4)

Peak list (8 most intense, 2θ = 10–90°, in order of rising 2θ)
d/Å  2theta  I_rel
5.287  16.8  38.5
3.045  29.3  58.1
2.913  30.7  37.1
2.792  32.1  72.6
2.765  32.4  100.0
2.527  35.5  87.1
2.410  37.3  27.0
2.389  37.6  47.2

=====

No. 6
Starting from a structure optimized by DFT (GGA-PBE), the XRD peak list of Na5Tl2Hg3 was simulated for copper Kα.

Crystal structure
Cell lengths 11.668, 15.506, 6.182 Å; angles 90.00, 91.15, 90.00 degrees
Space group C2/c (No. 15)
Unique sites:
Na 0.000 0.047 0.250 (multiplicity 4)
Na 0.125 0.338 0.941 (multiplicity 8)
Na 0.231 0.445 0.499 (multiplicity 8)
Tl 0.118 0.241 0.412 (multiplicity 8)
Hg 0.000 0.489 0.250 (multiplicity 4)
Hg 0.123 0.132 0.876 (multiplicity 8)

Peak list (8 most intense, 2θ = 10–90°, in order of rising 2θ)
d/Å  2theta  I_rel
4.833  18.4  23.3
4.726  18.8  62.7
3.770  23.6  77.5
2.918  30.6  30.9
2.756  32.5  100.0
2.730  32.8  44.1
2.703  33.1  81.7
2.557  35.1  34.1